Entry 1:
HfZrN2: calculated XRD peak list (Cu Kα (weighted mean of Kα1 and Kα2)), based on a crystal structure in the Materials Project, relaxed with GGA-PBE.
Kinematic intensities with the Lorentz-polarization factor, no thermal factor.

Principal peaks in the range 15° ≤ 2θ ≤ 90°, low angle first:
two_theta  I_rel
16.60  22.5
33.57  34.6
34.01  100.0
39.34  99.8
56.57  33.3
57.15  32.5
67.40  16.4
67.93  28.5
68.19  14.0
71.59  16.2

```
4
Lattice="1.6119 0.9306 5.3391 -1.6119 0.9306 5.3391 0.0000 -1.8612 5.3391" Properties=species:S:1:pos:R:3 pbc="T T T"
Hf 0.0000 0.0000 0.0000
Zr 0.0000 0.0000 8.0086
N 0.0000 0.0000 4.0938
N 0.0000 0.0000 11.9234
```

=====

Entry 2:
Pr4MgNi: calculated XRD peak list (Cu Kα (weighted mean of Kα1 and Kα2)), based on a crystal structure in the Materials Project, relaxed with GGA-PBE.
Kinematic intensities with the Lorentz-polarization factor, no thermal factor.

Principal peaks in the range 15° ≤ 2θ ≤ 90°, low angle first:
two_theta  I_rel
27.38  52.5
30.85  62.7
32.78  100.0
35.78  30.2
52.78  18.7
54.87  57.7
56.10  14.5
65.41  13.2
82.35  16.9
84.05  16.3

```
24
Lattice="0.0000 7.0987 7.0987 7.0987 0.0000 7.0987 7.0987 7.0987 0.0000" Properties=species:S:1:pos:R:3 pbc="T T T"
Pr 7.0987 7.0987 2.6347
Pr 7.0987 2.6347 7.0987
Pr 11.5628 7.0987 7.0987
Pr 5.7426 5.7426 5.7426
Pr 8.4549 8.4549 5.7426
Pr 8.4549 5.7426 8.4549
Pr 10.6481 10.6481 7.9586
Pr 10.6481 7.9586 10.6481
Pr 13.3375 10.6481 10.6481
Pr 5.7426 8.4549 8.4549
Pr 2.6347 7.0987 7.0987
Pr 7.0987 11.5628 7.0987
Pr 7.0987 7.0987 11.5628
Pr 7.9586 10.6481 10.6481
Pr 10.6481 13.3375 10.6481
Pr 10.6481 10.6481 13.3375
Mg 2.4287 2.4287 2.4287
Mg 4.6700 4.6700 2.4287
Mg 4.6700 2.4287 4.6700
Mg 2.4287 4.6700 4.6700
Ni 8.6354 5.5620 5.5620
Ni 5.5620 8.6354 5.5620
Ni 5.5620 5.5620 8.6354
Ni 8.6354 8.6354 8.6354
```